Ac2Nd9Sm: computed X-ray diffraction stick pattern (Cu Kα, 1.54184 Å), based on the GGA-PBE geometry in Alexandria.
Kinematic intensities with the Lorentz-polarization factor, no thermal factor.

Top 6 peaks for 2θ from 10° to 90°, by angle:
h k l, d [Å], 2theta, Rel. int.
2 0 0, 3.092, 28.88, 60.8
1 1 3, 2.880, 31.05, 100.0
2 2 0, 2.186, 41.29, 23.3
3 1 3, 1.742, 52.55, 46.2
2 0 6, 1.628, 56.54, 18.0
5 1 3, 1.156, 83.64, 12.2

Structure:
```
data_Ac2Nd9Sm
_space_group_name_H-M_alt 'P 4/m m m'
_space_group_IT_number 123
_space_group_name_Hall '-P 4 2'
_cell_length_a 6.184
_cell_length_b 6.184
_cell_length_c 11.486
_cell_angle_alpha 90.00
_cell_angle_beta 90.00
_cell_angle_gamma 90.00
loop_
_atom_site_label
_atom_site_fract_x
_atom_site_fract_y
_atom_site_fract_z
Ac1 0.000 0.000 0.170
Nd1 0.000 0.500 0.000
Nd2 0.000 0.500 0.341
Nd3 0.500 0.500 0.164
Nd4 0.500 0.500 0.500
Sm1 0.000 0.000 0.500
```